(1)
BaHoMgCo2O6: calculated PXRD pattern (copper Kα), based on the GGA+U geometry in the Materials Project.
Kinematic intensities with the Lorentz-polarization factor, no thermal factor.

Largest 6 diffraction maxima, in order of rising 2θ, 2θ from 10° to 80°:
d 5.506, I 53
d 2.700, I 100
d 2.682, I 81
d 2.612, I 89
d 2.175, I 42
d 1.570, I 37

Crystal structure
abc: 3.7177 3.9288 11.0130
angles: 90.00 90.00 90.00
Space group Pmm2 (No. 25)
Unique sites:
Ba (0.0000, 0.0000, 0.0000) x1
Ho (0.0000, 0.0000, 0.6753) x1
Mg (0.0000, 0.0000, 0.2976) x1
Co (0.5000, 0.5000, 0.2009) x1
Co (0.5000, 0.5000, 0.8042) x1
O (0.0000, 0.5000, 0.2824) x1
O (0.0000, 0.5000, 0.8005) x1
O (0.5000, 0.0000, 0.2265) x1
O (0.5000, 0.0000, 0.7949) x1
O (0.5000, 0.5000, 0.0221) x1
O (0.5000, 0.5000, 0.6195) x1



(2)
Li8TiMn3O12: calculated PXRD pattern (copper Kα), based on the GGA+U geometry in the Materials Project.
Kinematic intensities with the Lorentz-polarization factor, no thermal factor.

Largest 6 diffraction maxima, in order of rising 2θ, 2θ from 10° to 80°:
d 4.284, I 100
d 2.700, I 34
d 2.197, I 16
d 2.145, I 14
d 1.756, I 16
d 1.745, I 33

Crystal structure
abc: 4.9542 4.9767 8.4488
angles: 90.00 90.00 89.93
Space group P1 (No. 1)
Unique sites:
Li (0.0000, 0.0000, 0.0000) x1
Li (0.0001, 0.0003, 0.3106) x1
Li (0.0018, 0.5000, 0.9783) x1
Li (0.0035, 0.5001, 0.6685) x1
Li (0.5000, 0.0001, 0.1625) x1
Li (0.4998, 0.0005, 0.4749) x1
Li (0.5008, 0.5005, 0.5045) x1
Li (0.5031, 0.4997, 0.8185) x1
Ti (0.9999, 0.0003, 0.6480) x1
Mn (0.0004, 0.5003, 0.3266) x1
Mn (0.5002, 0.9999, 0.8320) x1
Mn (0.5005, 0.5001, 0.1508) x1
O (0.1384, 0.7457, 0.4882) x1
O (0.1756, 0.7143, 0.1653) x1
O (0.1795, 0.7834, 0.8168) x1
O (0.3263, 0.2856, 0.3143) x1
O (0.3296, 0.2180, 0.6683) x1
O (0.3525, 0.2488, 0.9921) x1
O (0.6485, 0.7514, 0.9921) x1
O (0.6712, 0.7821, 0.6683) x1
O (0.6744, 0.7149, 0.3143) x1
O (0.8213, 0.2166, 0.8170) x1
O (0.8252, 0.2861, 0.1653) x1
O (0.8625, 0.2551, 0.4883) x1



(3)
Li2VFeP2H2O10: calculated PXRD pattern (copper Kα), based on the GGA+U geometry in the Materials Project.
Kinematic intensities with the Lorentz-polarization factor, no thermal factor.

Largest 6 diffraction maxima, in order of rising 2θ, 2θ from 10° to 80°:
d 5.057, I 39
d 4.725, I 46
d 3.366, I 73
d 3.334, I 100
d 3.080, I 86
d 2.514, I 38

Crystal structure
abc: 5.4492 7.4017 10.1568
angles: 104.51 100.78 106.21
Space group P-1 (No. 2)
Unique sites:
Li (0.0224, 0.4518, 0.1263) x2
Li (0.4777, 0.0476, 0.3732) x2
V (0.0000, 0.5000, 0.5000) x1
V (0.5000, 0.0000, 0.0000) x1
Fe (0.0000, 0.0000, 0.5000) x1
Fe (0.5000, 0.5000, 0.0000) x1
P (0.0233, 0.8926, 0.1632) x2
P (0.4779, 0.6071, 0.3375) x2
H (0.1204, 0.8426, 0.6802) x2
H (0.3798, 0.6605, 0.8193) x2
O (0.0653, 0.8853, 0.3172) x2
O (0.1020, 0.3251, 0.9416) x2
O (0.1305, 0.8065, 0.5808) x2
O (0.1575, 0.9851, 0.8622) x2
O (0.1935, 0.5080, 0.3469) x2
O (0.3082, 0.9917, 0.1546) x2
O (0.3416, 0.5166, 0.6373) x2
O (0.3737, 0.6976, 0.9195) x2
O (0.3984, 0.1761, 0.5581) x2
O (0.4350, 0.6124, 0.1831) x2



(4)
Mn6HO12: calculated PXRD pattern (copper Kα), based on the GGA+U geometry in the Materials Project.
Kinematic intensities with the Lorentz-polarization factor, no thermal factor.

Largest 6 diffraction maxima, in order of rising 2θ, 2θ from 10° to 80°:
d 3.946, I 53
d 3.799, I 100
d 2.842, I 67
d 2.497, I 68
d 2.181, I 47
d 1.685, I 38

Crystal structure
abc: 9.3262 5.9280 13.9127
angles: 90.00 92.35 90.00
Space group Cc (No. 9)
Unique sites:
Mn (0.0000, 0.1197, 0.0000) x4
Mn (0.2344, 0.3756, 0.8428) x4
Mn (0.2374, 0.1270, 0.3446) x4
Mn (0.4689, 0.1248, 0.6900) x4
Mn (0.4755, 0.3746, 0.1864) x4
Mn (0.4992, 0.1305, 0.0000) x4
H (0.2038, 0.3804, 0.0873) x4
O (0.0692, 0.3773, 0.7475) x4
O (0.0737, 0.1274, 0.2484) x4
O (0.0928, 0.1254, 0.5728) x4
O (0.0988, 0.3760, 0.0763) x4
O (0.1528, 0.1230, 0.9114) x4
O (0.1529, 0.3726, 0.4121) x4
O (0.3179, 0.1239, 0.7751) x4
O (0.3204, 0.3747, 0.2757) x4
O (0.3813, 0.1270, 0.1137) x4
O (0.3816, 0.3780, 0.6134) x4
O (0.3976, 0.3751, 0.9415) x4
O (0.4013, 0.1248, 0.4406) x4